Diffraction record for Ho5PuTl3. The powder XRD pattern is calculated, not measured: it uses a DFT-relaxed cell (PBE, Alexandria) and λ = 1.5418 Å (Cu Kα).
Lines closer than 0.1° are merged.

Atomic structure:
```
data_Ho5PuTl3
_chemical_formula_sum 'Ho10 Pu2 Tl6'
_cell_length_a 9.3062
_cell_length_b 9.3062
_cell_length_c 6.6443
_cell_angle_alpha 90.00
_cell_angle_beta 90.00
_cell_angle_gamma 120.00
_symmetry_space_group_name_H-M 'P 63/m c m'
_symmetry_Int_Tables_number 193
_symmetry_space_group_name_Hall '-P 6c 2'
loop_
_atom_site_label
_atom_site_fract_x
_atom_site_fract_y
_atom_site_fract_z
Ho1 0.0000 0.3151 0.2500
Ho2 0.3333 0.6667 0.0000
Pu1 0.0000 0.0000 0.0000
Tl1 0.0000 0.3502 0.7500
```

The 8 most intense peaks (2θ = 10–80°), low angle first:
two_theta, I (rel.)
33.13, 947
33.35, 1000
47.72, 334
59.47, 337
59.61, 175
66.13, 308
70.05, 104
79.71, 137